Diffraction record for Th2HN3. The powder X-ray diffraction pattern is theoretical, not measured: it uses DFT lattice parameters and positions (PBE) and Cu Kα X-rays.
Kinematic intensities with the Lorentz-polarization factor, no thermal factor.

Largest 10 diffraction maxima, by angle, 10° ≤ 2θ ≤ 90°:
2θ/deg, I (rel.)
25.6, 26
29.0, 25
29.5, 100
39.0, 20
45.1, 28
51.7, 24
54.5, 26
54.8, 19
73.6, 16
88.1, 11

Structural model:
```
data_Th2HN3
_symmetry_space_group_name_H-M 'P 3 m 1'
_symmetry_Int_Tables_number 156
_symmetry_space_group_name_Hall 'P 3 -2"'
_cell_length_a 4.0225
_cell_length_b 4.0225
_cell_length_c 6.1634
_cell_angle_alpha 90.00
_cell_angle_beta 90.00
_cell_angle_gamma 120.00
loop_
_atom_site_label
_atom_site_type_symbol
_atom_site_fract_x
_atom_site_fract_y
_atom_site_fract_z
Th1 Th 0.0000 0.0000 0.0000
Th2 Th 0.3333 0.6667 0.5212
H1 H 0.6667 0.3333 0.1201
N1 N 0.0000 0.0000 0.6256
N2 N 0.3333 0.6667 0.9200
N3 N 0.6667 0.3333 0.2882
```


Diffraction record for Ti20H2N17. The powder X-ray diffraction pattern is theoretical, not measured: it uses DFT lattice parameters and positions (PBE) and Cu Kα X-rays.
Kinematic intensities with the Lorentz-polarization factor, no thermal factor.

Largest 10 diffraction maxima, by angle, 10° ≤ 2θ ≤ 90°:
2θ/deg, I (rel.)
36.7, 100
42.5, 84
42.7, 41
61.7, 24
61.8, 47
73.9, 18
74.0, 6
74.2, 9
77.9, 16
78.0, 5

Structural model:
```
data_Ti20H2N17
_symmetry_space_group_name_H-M 'C 1 2/m 1'
_symmetry_Int_Tables_number 12
_symmetry_space_group_name_Hall '-C 2y'
_cell_length_a 15.6209
_cell_length_b 3.0082
_cell_length_c 16.9398
_cell_angle_alpha 90.00
_cell_angle_beta 105.84
_cell_angle_gamma 90.00
loop_
_atom_site_label
_atom_site_type_symbol
_atom_site_fract_x
_atom_site_fract_y
_atom_site_fract_z
Ti1 Ti 0.0005 0.0000 0.1294
Ti2 Ti 0.0037 0.0000 0.3762
Ti3 Ti 0.0991 0.5000 0.5231
Ti4 Ti 0.1000 0.5000 0.2734
Ti5 Ti 0.1005 0.5000 0.7788
Ti6 Ti 0.1046 0.5000 0.0263
Ti7 Ti 0.1996 0.0000 0.1747
Ti8 Ti 0.1998 0.0000 0.9235
Ti9 Ti 0.2011 0.0000 0.4267
Ti10 Ti 0.2037 0.0000 0.6761
H1 H 0.1003 0.5000 0.6499
N1 N 0.9999 0.0000 0.2509
N2 N 0.0000 0.0000 0.5000
N3 N 0.0990 0.5000 0.1486
N4 N 0.0992 0.5000 0.3998
N5 N 0.0992 0.5000 0.9008
N6 N 0.1982 0.0000 0.0490
N7 N 0.1993 0.0000 0.7989
N8 N 0.1998 0.0000 0.5504
N9 N 0.2006 0.0000 0.3008
```


Diffraction record for Zr10HN8. The powder X-ray diffraction pattern is theoretical, not measured: it uses DFT lattice parameters and positions (PBE) and Cu Kα X-rays.
Kinematic intensities with the Lorentz-polarization factor, no thermal factor.

Largest 10 diffraction maxima, by angle, 10° ≤ 2θ ≤ 90°:
2θ/deg, I (rel.)
33.6, 100
33.6, 33
38.6, 36
39.2, 68
56.1, 11
56.2, 33
56.5, 11
66.6, 14
67.4, 13
67.5, 17

Structural model:
```
data_Zr10HN8
_symmetry_space_group_name_H-M 'P -1'
_symmetry_Int_Tables_number 2
_symmetry_space_group_name_Hall '-P 1'
_cell_length_a 5.6374
_cell_length_b 5.6517
_cell_length_c 8.6330
_cell_angle_alpha 71.51
_cell_angle_beta 71.51
_cell_angle_gamma 80.28
loop_
_atom_site_label
_atom_site_type_symbol
_atom_site_fract_x
_atom_site_fract_y
_atom_site_fract_z
Zr1 Zr 0.0538 0.2607 0.1515
Zr2 Zr 0.1312 0.7501 0.4499
Zr3 Zr 0.2446 0.2468 0.7530
Zr4 Zr 0.3525 0.7402 0.0550
Zr5 Zr 0.4441 0.2339 0.3477
H1 H 0.0000 0.0000 0.0000
N1 N 0.0938 0.4927 0.3033
N2 N 0.2070 0.0051 0.5965
N3 N 0.2949 0.4959 0.9024
N4 N 0.4041 0.0043 0.1984
```


Diffraction record for NaNdH2S2O9. The powder X-ray diffraction pattern is theoretical, not measured: it uses DFT lattice parameters and positions (PBE) and Cu Kα X-rays.
Kinematic intensities with the Lorentz-polarization factor, no thermal factor.

Largest 10 diffraction maxima, by angle, 10° ≤ 2θ ≤ 90°:
2θ/deg, I (rel.)
14.5, 50
16.0, 100
20.5, 18
25.2, 43
29.2, 65
31.2, 71
37.6, 21
41.5, 27
48.3, 46
53.0, 26

Structural model:
```
data_NaNdH2S2O9
_symmetry_space_group_name_H-M 'P 31 2 1'
_symmetry_Int_Tables_number 152
_symmetry_space_group_name_Hall 'P 31 2"'
_cell_length_a 7.0642
_cell_length_b 7.0642
_cell_length_c 12.9776
_cell_angle_alpha 90.00
_cell_angle_beta 90.00
_cell_angle_gamma 120.00
loop_
_atom_site_label
_atom_site_type_symbol
_atom_site_fract_x
_atom_site_fract_y
_atom_site_fract_z
Na1 Na 0.0000 0.4731 0.1667
Nd1 Nd 0.0000 0.4384 0.6667
H1 H 0.0443 0.9485 0.0399
S1 S 0.0110 0.4537 0.9101
O1 O 0.0000 0.0864 0.6667
O2 O 0.1250 0.6181 0.3490
O3 O 0.1278 0.3876 0.4903
O4 O 0.1303 0.6414 0.8379
O5 O 0.1642 0.4101 0.9705
```


Diffraction record for Na3NpH2O6. The powder X-ray diffraction pattern is theoretical, not measured: it uses DFT lattice parameters and positions (PBE) and Cu Kα X-rays.
Kinematic intensities with the Lorentz-polarization factor, no thermal factor.

Largest 10 diffraction maxima, by angle, 10° ≤ 2θ ≤ 90°:
2θ/deg, I (rel.)
17.6, 100
19.1, 53
21.6, 44
28.0, 24
29.9, 26
31.2, 18
31.6, 20
32.5, 16
35.6, 14
39.0, 21

Structural model:
```
data_Na3NpH2O6
_symmetry_space_group_name_H-M 'F d d 2'
_symmetry_Int_Tables_number 43
_symmetry_space_group_name_Hall 'F 2 -2d'
_cell_length_a 5.9863
_cell_length_b 20.1574
_cell_length_c 10.4862
_cell_angle_alpha 90.00
_cell_angle_beta 90.00
_cell_angle_gamma 90.00
loop_
_atom_site_label
_atom_site_type_symbol
_atom_site_fract_x
_atom_site_fract_y
_atom_site_fract_z
Na1 Na 0.0000 0.0000 0.0000
Na2 Na 0.0240 0.4125 0.1636
Np1 Np 0.0000 0.0000 0.3398
H1 H 0.0834 0.3946 0.6642
O1 O 0.0045 0.1916 0.0890
O2 O 0.0912 0.1942 0.7182
O3 O 0.1044 0.1890 0.4319
```


Diffraction record for Na3NpH6O8. The powder X-ray diffraction pattern is theoretical, not measured: it uses DFT lattice parameters and positions (PBE) and Cu Kα X-rays.
Kinematic intensities with the Lorentz-polarization factor, no thermal factor.

Largest 10 diffraction maxima, by angle, 10° ≤ 2θ ≤ 90°:
2θ/deg, I (rel.)
12.0, 100
17.9, 68
18.4, 71
22.8, 29
24.4, 32
25.5, 31
25.8, 49
33.4, 23
37.3, 21
41.8, 27

Structural model:
```
data_Na3NpH6O8
_symmetry_space_group_name_H-M 'P 1 21/c 1'
_symmetry_Int_Tables_number 14
_symmetry_space_group_name_Hall '-P 2ybc'
_cell_length_a 7.9658
_cell_length_b 7.8144
_cell_length_c 6.9118
_cell_angle_alpha 90.00
_cell_angle_beta 112.33
_cell_angle_gamma 90.00
loop_
_atom_site_label
_atom_site_type_symbol
_atom_site_fract_x
_atom_site_fract_y
_atom_site_fract_z
Na1 Na 0.0000 0.0000 0.0000
Na2 Na 0.3505 0.1773 0.9026
Np1 Np 0.0000 0.0000 0.5000
H1 H 0.2138 0.7107 0.8446
H2 H 0.3789 0.0002 0.2927
H3 H 0.4153 0.5720 0.1265
O1 O 0.1177 0.2172 0.5451
O2 O 0.1537 0.5653 0.2800
O3 O 0.2280 0.5863 0.8784
O4 O 0.4687 0.0634 0.2475
```


Copy entry 2 word for word.
Diffraction record for Ti20H2N17. The powder X-ray diffraction pattern is theoretical, not measured: it uses DFT lattice parameters and positions (PBE) and Cu Kα X-rays.
Kinematic intensities with the Lorentz-polarization factor, no thermal factor.

Largest 10 diffraction maxima, by angle, 10° ≤ 2θ ≤ 90°:
2θ/deg, I (rel.)
36.7, 100
42.5, 84
42.7, 41
61.7, 24
61.8, 47
73.9, 18
74.0, 6
74.2, 9
77.9, 16
78.0, 5

Structural model:
```
data_Ti20H2N17
_symmetry_space_group_name_H-M 'C 1 2/m 1'
_symmetry_Int_Tables_number 12
_symmetry_space_group_name_Hall '-C 2y'
_cell_length_a 15.6209
_cell_length_b 3.0082
_cell_length_c 16.9398
_cell_angle_alpha 90.00
_cell_angle_beta 105.84
_cell_angle_gamma 90.00
loop_
_atom_site_label
_atom_site_type_symbol
_atom_site_fract_x
_atom_site_fract_y
_atom_site_fract_z
Ti1 Ti 0.0005 0.0000 0.1294
Ti2 Ti 0.0037 0.0000 0.3762
Ti3 Ti 0.0991 0.5000 0.5231
Ti4 Ti 0.1000 0.5000 0.2734
Ti5 Ti 0.1005 0.5000 0.7788
Ti6 Ti 0.1046 0.5000 0.0263
Ti7 Ti 0.1996 0.0000 0.1747
Ti8 Ti 0.1998 0.0000 0.9235
Ti9 Ti 0.2011 0.0000 0.4267
Ti10 Ti 0.2037 0.0000 0.6761
H1 H 0.1003 0.5000 0.6499
N1 N 0.9999 0.0000 0.2509
N2 N 0.0000 0.0000 0.5000
N3 N 0.0990 0.5000 0.1486
N4 N 0.0992 0.5000 0.3998
N5 N 0.0992 0.5000 0.9008
N6 N 0.1982 0.0000 0.0490
N7 N 0.1993 0.0000 0.7989
N8 N 0.1998 0.0000 0.5504
N9 N 0.2006 0.0000 0.3008
```